Entry 1:
Diffraction record for Er12GePd6. The powder diffraction line list is theoretical, not measured: it uses DFT lattice parameters and positions (GGA-PBE) and Cu Kα X-rays.
Peak positions follow from Bragg's law for the DFT cell and can differ from measured ones.

Structural model:
Unit cell a=8.2585 b=8.2585 c=8.2585 alpha=100.90 beta=100.90 gamma=100.90
Positions (direct):
1 Er 0.0585 0.6737 0.9198
2 Er 0.0802 0.9415 0.3263
3 Er 0.1747 0.4142 0.5721
4 Er 0.3263 0.0802 0.9415
5 Er 0.4142 0.5721 0.1747
6 Er 0.4279 0.8253 0.5858
7 Er 0.5721 0.1747 0.4142
8 Er 0.5858 0.4279 0.8253
9 Er 0.6737 0.9198 0.0585
10 Er 0.8253 0.5858 0.4279
11 Er 0.9198 0.0585 0.6737
12 Er 0.9415 0.3263 0.0802
13 Ge 0.0000 0.0000 0.0000
14 Pd 0.1385 0.6175 0.3177
15 Pd 0.3177 0.1385 0.6175
16 Pd 0.3825 0.6823 0.8615
17 Pd 0.6175 0.3177 0.1385
18 Pd 0.6823 0.8615 0.3825
19 Pd 0.8615 0.3825 0.6823

Most intense lines, 2θ = 10–80°, by angle:
Position (°2θ)	Rel. int.
22.74	34
26.59	72
28.02	22
32.78	36
33.32	41
37.36	100
38.55	68
52.68	18
54.78	25
56.84	30

=====

Entry 2:
Diffraction record for Nd2Ti3O8. The powder diffraction line list is theoretical, not measured: it uses DFT lattice parameters and positions (GGA-PBE) and Cu Kα X-rays.
Peak positions follow from Bragg's law for the DFT cell and can differ from measured ones.

Structural model:
Unit cell a=3.8989 b=3.8989 c=11.0059 alpha=90.00 beta=90.00 gamma=90.00
Positions (direct):
1 Nd 0.0000 0.0000 0.1974
2 Nd 0.0000 0.0000 0.8026
3 Ti 0.5000 0.5000 0.0000
4 Ti 0.5000 0.5000 0.3631
5 Ti 0.5000 0.5000 0.6369
6 O 0.0000 0.5000 0.0000
7 O 0.0000 0.5000 0.3421
8 O 0.0000 0.5000 0.6579
9 O 0.5000 0.0000 0.0000
10 O 0.5000 0.0000 0.3421
11 O 0.5000 0.0000 0.6579
12 O 0.5000 0.5000 0.1757
13 O 0.5000 0.5000 0.8243

Most intense lines, 2θ = 10–80°, by angle:
Position (°2θ)	Rel. int.
16.11	53
28.05	75
32.48	59
33.54	100
36.45	32
40.97	47
46.59	49
53.24	36
58.62	37
63.78	24

=====

Entry 3:
Diffraction record for Rb7ICl5. The powder diffraction line list is theoretical, not measured: it uses DFT lattice parameters and positions (GGA-PBE) and Cu Kα X-rays.
Peak positions follow from Bragg's law for the DFT cell and can differ from measured ones.

Structural model:
Unit cell a=8.3963 b=8.3963 c=28.9735 alpha=90.28 beta=90.28 gamma=33.42
Positions (direct):
1 Rb 0.0000 0.0000 0.0000
2 Rb 0.9995 0.9995 0.4331
3 Rb 0.1004 0.1004 0.7160
4 Rb 0.1697 0.1697 0.2170
5 Rb 0.2704 0.2704 0.9332
6 Rb 0.2712 0.2712 0.4998
7 Rb 0.4667 0.4667 0.2953
8 Rb 0.4683 0.4683 0.1376
9 Rb 0.5425 0.5425 0.8630
10 Rb 0.5444 0.5444 0.5694
11 Rb 0.7264 0.7264 0.3634
12 Rb 0.7277 0.7277 0.0701
13 Rb 0.8018 0.8018 0.7957
14 Rb 0.8038 0.8038 0.6378
15 I 0.4172 0.4172 0.7180
16 I 0.8528 0.8528 0.2155
17 Cl 0.0955 0.0955 0.3317
18 Cl 0.0972 0.0972 0.1017
19 Cl 0.1730 0.1730 0.8315
20 Cl 0.1751 0.1751 0.6012
21 Cl 0.3644 0.3644 0.0374
22 Cl 0.3638 0.3638 0.3956
23 Cl 0.6353 0.6353 0.4664
24 Cl 0.6352 0.6352 0.9666
25 Cl 0.9059 0.9059 0.8958
26 Cl 0.9068 0.9068 0.5374

Most intense lines, 2θ = 10–80°, by angle:
Position (°2θ)	Rel. int.
22.81	22
24.13	41
24.23	44
24.62	40
25.58	90
26.50	100
36.91	22
37.04	23
37.24	41
44.90	32

=====

Entry 4:
Diffraction record for Mg4H3Ir3. The powder diffraction line list is theoretical, not measured: it uses DFT lattice parameters and positions (GGA-PBE) and Cu Kα X-rays.
Peak positions follow from Bragg's law for the DFT cell and can differ from measured ones.

Structural model:
Unit cell a=5.4715 b=5.4715 c=5.4715 alpha=109.53 beta=108.97 gamma=109.91
Positions (direct):
1 Mg 0.2495 0.2483 0.4978
2 Mg 0.2495 0.7517 0.0012
3 Mg 0.7505 0.2483 0.9988
4 Mg 0.7505 0.7517 0.5022
5 H 0.5149 0.5149 0.0000
6 H 0.7550 0.5220 0.7670
7 H 0.7550 0.9880 0.2330
8 Ir 0.2494 0.7494 0.5000
9 Ir 0.2551 0.2551 0.0000
10 Ir 0.7526 0.2526 0.5000

Most intense lines, 2θ = 10–80°, by angle:
Position (°2θ)	Rel. int.
19.84	92
19.94	47
28.07	63
28.27	60
28.41	60
34.84	48
40.27	100
40.37	100
40.51	98
50.01	52